CaVSb2O8: computed powder diffractogram (Cu Kα (weighted mean of Kα1 and Kα2)), based on the GGA+U geometry in Alexandria.

Most intense lines, 2θ from 5° to 70°, sorted by position:
18.4 deg, I = 63.6; 25.4 deg, I = 80.5; 26.8 deg, I = 66.1; 33.8 deg, I = 100.0; 37.2 deg, I = 24.8; 38.2 deg, I = 27.2; 42.8 deg, I = 15.8; 50.4 deg, I = 51.8; 52.0 deg, I = 41.5; 65.0 deg, I = 29.1

Crystal structure
a b c (Å): 4.836 4.836 6.343
angles (deg): 90.00 90.00 93.07
Element x y z (fractional)
Ca  0.000  0.000  0.000
V  0.000  0.000  0.500
Sb  0.500  0.500  0.255
Sb  0.500  0.500  0.745
O  0.203  0.203  0.284
O  0.203  0.203  0.716
O  0.304  0.696  0.500
O  0.323  0.677  0.000
O  0.677  0.323  0.000
O  0.696  0.304  0.500
O  0.797  0.797  0.284
O  0.797  0.797  0.716